Diffraction record for CuSnH12N2O6. The powder XRD pattern is calculated, not measured: it uses a crystal structure in the Materials Project, relaxed with GGA-PBE and Cu Kα (weighted mean of Kα1 and Kα2).
Peak positions follow from Bragg's law for the DFT cell and can differ from measured ones.

Cell: 4.9642 5.7529 6.7227 Å, 107.67 92.28 92.95°
Fractional positions:
Cu 0.0000 0.0000 0.0000
Sn 0.0000 0.0000 0.5000
H 0.1548 0.4510 0.1504
H 0.2270 0.6665 0.6279
H 0.2652 0.3340 0.9130
H 0.3890 0.9815 0.2509
H 0.4102 0.2971 0.5543
H 0.4235 0.2947 0.1242
H 0.5765 0.7053 0.8758
H 0.5898 0.7029 0.4457
H 0.6110 0.0185 0.7491
H 0.7348 0.6660 0.0870
H 0.7730 0.3335 0.3721
H 0.8452 0.5490 0.8496
N 0.2386 0.3023 0.0546
N 0.7614 0.6977 0.9454
O 0.2078 0.8939 0.2185
O 0.2342 0.3289 0.6137
O 0.2825 0.8400 0.6483
O 0.7175 0.1600 0.3517
O 0.7658 0.6711 0.3863
O 0.7922 0.1061 0.7815

Principal peaks in the range 10° ≤ 2θ ≤ 90°, by intensity:
d_spacing  I (rel.)  hkl
5.469  100  0 1 0
4.952  76  1 0 0
3.798  42  1 -1 0
2.760  36  1 0 -2
3.554  26  1 1 0
2.329  25  1 2 0
2.678  24  1 -1 2
3.197  20  0 0 2
3.224  17  0 1 -2
2.266  15  -1 1 2
2.237  15  1 -2 2
1.822  13  0 2 2